Diffraction record for Te2Mo. The X-ray diffraction stick pattern is theoretical, not measured: it uses a cell relaxed with PBE and Cu Kα X-rays.
No peak broadening, texture or thermal motion is included.

Peak list (12 most intense, 2θ = 10–90°, sorted by position)
d [Å]  2theta  I (rel.)  h k l
8.449  10.5  100  0 0 3
3.082  29.0  38  1 0 0
3.059  29.2  41  1 0 1
2.633  34.0  80  0 1 5
2.490  36.1  37  0 1 6
2.347  38.4  20  1 0 7
2.209  40.8  73  1 0 8
2.079  43.5  23  0 1 9
1.779  51.3  31  1 1 0
1.775  51.5  18  1 1 1
1.386  67.6  16  0 2 8
1.314  71.8  18  1 1 13

Crystal structure
```
data_Te2Mo
_cell_length_a 3.5587
_cell_length_b 3.5587
_cell_length_c 25.3466
_cell_angle_alpha 90.00
_cell_angle_beta 90.00
_cell_angle_gamma 120.00
_space_group_name_H-M_alt 'P -3 m 1'
_space_group_IT_number 164
_space_group_name_Hall '-P 3 2"'
loop_
_atom_site_label
_atom_site_type_symbol
_atom_site_fract_x
_atom_site_fract_y
_atom_site_fract_z
Te1 Te 0.3333 0.6667 0.0800
Te2 Te 0.3333 0.6667 0.2228
Mo1 Mo 0.3333 0.6667 0.8486
```